Record 1
Au3I2Cl6: simulated X-ray powder pattern (Cu Kα, 1.54184 Å), based on a crystal structure in Alexandria, relaxed with PBE.

Top 10 peaks for 2θ from 15° to 90°, sorted by position:
| 2theta | I (rel.) |
| --- | --- |
| 21.43 | 45 |
| 22.95 | 100 |
| 24.11 | 79 |
| 25.37 | 21 |
| 26.96 | 29 |
| 31.59 | 88 |
| 33.34 | 63 |
| 41.03 | 19 |
| 47.38 | 33 |
| 49.88 | 20 |

Atomic structure:
```
22
Lattice="6.307 -3.875 0.000 6.307 3.875 0.000 -1.000 0.000 16.589" Properties=species:S:1:pos:R:3 pbc="T T T"
Au 5.557 3.726 12.441
Au 3.861 0.119 4.325
Au 3.361 -0.119 12.619
Au 8.253 0.119 3.969
Au 7.753 -0.119 12.263
Au 6.057 -3.726 4.147
I 4.303 0.022 0.225
I 3.803 -0.022 8.519
I 7.811 0.022 8.069
I 7.311 -0.022 16.363
Cl 1.617 0.147 2.846
Cl 1.117 -0.147 11.141
Cl 2.556 0.092 6.282
Cl 2.056 -0.092 14.576
Cl 5.444 0.146 2.586
Cl 4.944 -0.146 10.880
Cl 6.670 0.146 5.708
Cl 6.170 -0.146 14.003
Cl 9.558 0.092 2.012
Cl 9.058 -0.092 10.307
Cl 10.497 0.147 5.448
Cl 9.997 -0.147 13.742
```


Record 2
Au2I2Cl: simulated X-ray powder pattern (Cu Kα, 1.54184 Å), based on a crystal structure in Alexandria, relaxed with PBE.

Top 10 peaks for 2θ from 15° to 90°, sorted by position:
| 2theta | I (rel.) |
| --- | --- |
| 18.04 | 100 |
| 20.62 | 54 |
| 23.25 | 51 |
| 24.17 | 53 |
| 27.47 | 60 |
| 28.14 | 61 |
| 31.45 | 46 |
| 37.40 | 45 |
| 42.20 | 51 |
| 43.58 | 43 |

Atomic structure:
```
10
Lattice="7.431 -2.077 0.000 7.431 2.077 0.000 -1.591 0.000 11.708" Properties=species:S:1:pos:R:3 pbc="T T T"
Au -0.027 0.000 4.397
Au 5.631 0.000 0.998
Au 7.639 0.000 10.709
Au 13.297 0.000 7.311
I 0.484 0.000 8.978
I 4.426 0.000 6.384
I 8.845 0.000 5.324
I 12.786 0.000 2.730
Cl 4.178 0.000 10.387
Cl 9.093 0.000 1.321
```


Record 3
K6Au2I3Cl: simulated X-ray powder pattern (Cu Kα, 1.54184 Å), based on a crystal structure in Alexandria, relaxed with PBE.

Top 10 peaks for 2θ from 15° to 90°, sorted by position:
| 2theta | I (rel.) |
| --- | --- |
| 22.21 | 16 |
| 22.23 | 39 |
| 25.72 | 100 |
| 36.70 | 77 |
| 43.32 | 30 |
| 45.35 | 27 |
| 58.04 | 14 |
| 59.70 | 35 |
| 66.08 | 25 |
| 83.79 | 16 |

Atomic structure:
```
12
Lattice="4.244 -7.346 0.000 4.244 7.346 0.000 -2.831 0.000 7.995" Properties=species:S:1:pos:R:3 pbc="T T T"
K 1.359 2.354 1.864
K -0.115 0.000 6.115
K 1.359 -2.354 1.864
K 4.297 2.354 6.131
K 5.771 0.000 1.880
K 4.297 -2.354 6.131
Au 4.244 2.441 0.000
Au 4.244 -2.441 0.000
I 2.828 4.846 3.997
I 2.828 0.000 3.997
I 2.828 -4.846 3.997
Cl 0.000 0.000 0.000
```


Record 4
Rb2AuI6Cl: simulated X-ray powder pattern (Cu Kα, 1.54184 Å), based on a crystal structure in Alexandria, relaxed with PBE.

Top 10 peaks for 2θ from 15° to 90°, sorted by position:
| 2theta | I (rel.) |
| --- | --- |
| 15.15 | 19 |
| 26.06 | 100 |
| 29.98 | 97 |
| 30.58 | 48 |
| 39.30 | 17 |
| 42.92 | 34 |
| 43.36 | 69 |
| 50.90 | 26 |
| 53.61 | 35 |
| 78.95 | 20 |

Atomic structure:
```
10
Lattice="-4.215 4.215 5.847 4.215 -4.215 5.847 4.215 4.215 -5.847" Properties=species:S:1:pos:R:3 pbc="T T T"
Rb 4.215 0.000 2.923
Rb 0.000 4.215 2.923
Au 0.000 0.000 0.000
I 1.950 1.950 0.000
I 2.265 -2.265 5.847
I 0.000 0.000 2.828
I 0.000 0.000 8.865
I -2.265 2.265 5.847
I 2.265 2.265 5.847
Cl 0.000 0.000 5.847
```


Record 5
LiInAuCl2: simulated X-ray powder pattern (Cu Kα, 1.54184 Å), based on a crystal structure in Alexandria, relaxed with PBE.

Top 10 peaks for 2θ from 15° to 90°, sorted by position:
| 2theta | I (rel.) |
| --- | --- |
| 17.36 | 55 |
| 19.54 | 100 |
| 24.81 | 21 |
| 26.33 | 13 |
| 30.45 | 22 |
| 31.64 | 31 |
| 35.39 | 18 |
| 39.68 | 28 |
| 40.74 | 31 |
| 48.20 | 19 |

Atomic structure:
```
5
Lattice="5.072 0.000 0.000 0.000 5.072 0.000 0.000 0.000 10.218" Properties=species:S:1:pos:R:3 pbc="T T T"
Li 0.000 0.000 0.000
In 0.000 0.000 5.109
Au 2.536 2.536 0.000
Cl 0.000 2.536 5.109
Cl 2.536 0.000 5.109
```


Record 6
IrAuCl6: simulated X-ray powder pattern (Cu Kα, 1.54184 Å), based on a crystal structure in Alexandria, relaxed with PBE.

Top 10 peaks for 2θ from 15° to 90°, sorted by position:
| 2theta | I (rel.) |
| --- | --- |
| 15.81 | 76 |
| 17.63 | 100 |
| 20.02 | 52 |
| 22.88 | 54 |
| 23.91 | 55 |
| 26.03 | 89 |
| 28.63 | 58 |
| 29.93 | 42 |
| 33.80 | 61 |
| 40.69 | 39 |

Atomic structure:
```
16
Lattice="4.257 -4.260 0.000 4.257 4.260 0.000 -2.144 0.000 11.462" Properties=species:S:1:pos:R:3 pbc="T T T"
Ir 2.129 2.130 0.000
Ir 1.056 -2.130 5.731
Au 2.649 4.060 8.596
Au 3.721 -4.060 2.865
Cl 1.262 2.169 9.487
Cl 3.367 2.647 4.530
Cl 4.075 2.647 1.201
Cl 1.566 0.109 5.954
Cl 2.638 -0.109 0.223
Cl 4.036 2.169 7.706
Cl 2.334 -2.169 3.756
Cl 3.732 0.109 11.238
Cl 4.804 -0.109 5.508
Cl 2.295 -2.647 10.261
Cl 3.003 -2.647 6.932
Cl 5.108 -2.169 1.975
```


Record 7
IrAu2Cl: simulated X-ray powder pattern (Cu Kα, 1.54184 Å), based on a crystal structure in Alexandria, relaxed with PBE.

Top 10 peaks for 2θ from 15° to 90°, sorted by position:
| 2theta | I (rel.) |
| --- | --- |
| 18.95 | 28 |
| 32.33 | 14 |
| 32.55 | 13 |
| 37.51 | 14 |
| 37.75 | 32 |
| 38.45 | 35 |
| 39.87 | 25 |
| 40.77 | 16 |
| 42.35 | 100 |
| 50.53 | 18 |

Atomic structure:
```
8
Lattice="13.566 0.000 0.000 0.000 2.828 0.000 -0.016 0.000 4.682" Properties=species:S:1:pos:R:3 pbc="T T T"
Ir 0.000 0.000 0.000
Ir 6.783 1.414 0.000
Au 4.436 0.000 4.675
Au 6.365 0.000 2.340
Au 11.219 1.414 4.675
Au 13.148 1.414 2.340
Cl 2.084 1.414 0.010
Cl 8.867 0.000 0.010
```


Record 8
KIrAuClO: simulated X-ray powder pattern (Cu Kα, 1.54184 Å), based on a crystal structure in Alexandria, relaxed with PBE.

Top 10 peaks for 2θ from 15° to 90°, sorted by position:
| 2theta | I (rel.) |
| --- | --- |
| 16.38 | 100 |
| 23.87 | 54 |
| 29.09 | 71 |
| 33.10 | 41 |
| 33.45 | 40 |
| 37.46 | 28 |
| 41.22 | 27 |
| 41.52 | 26 |
| 44.91 | 44 |
| 47.78 | 29 |

Atomic structure:
```
5
Lattice="5.357 0.000 0.000 0.000 3.727 0.000 -0.007 0.000 5.412" Properties=species:S:1:pos:R:3 pbc="T T T"
K 0.000 0.000 0.000
Ir 2.675 1.864 2.706
Au -0.004 1.864 2.706
Cl 2.679 1.864 0.000
O 2.675 0.000 2.706
```


Record 9
KIrAuClO: simulated X-ray powder pattern (Cu Kα, 1.54184 Å), based on a crystal structure in Alexandria, relaxed with PBE.

Top 10 peaks for 2θ from 15° to 90°, sorted by position:
| 2theta | I (rel.) |
| --- | --- |
| 23.54 | 61 |
| 33.98 | 47 |
| 34.42 | 100 |
| 36.47 | 79 |
| 42.12 | 56 |
| 49.47 | 35 |
| 50.38 | 30 |
| 51.02 | 32 |
| 55.48 | 25 |
| 87.60 | 29 |

Atomic structure:
```
5
Lattice="3.685 0.000 0.000 0.000 3.685 0.000 0.000 0.000 7.559" Properties=species:S:1:pos:R:3 pbc="T T T"
K 0.000 0.000 0.000
Ir 1.843 1.843 4.491
Au 0.000 0.000 3.942
Cl 1.843 1.843 1.968
O 1.843 1.843 6.293
```


Record 10
IrAuN5Cl6: simulated X-ray powder pattern (Cu Kα, 1.54184 Å), based on a crystal structure in Alexandria, relaxed with PBE.

Top 10 peaks for 2θ from 15° to 90°, sorted by position:
| 2theta | I (rel.) |
| --- | --- |
| 16.90 | 99 |
| 18.47 | 50 |
| 20.39 | 100 |
| 24.28 | 25 |
| 26.64 | 25 |
| 28.27 | 19 |
| 31.68 | 25 |
| 34.17 | 26 |
| 36.46 | 22 |
| 44.13 | 21 |

Atomic structure:
```
26
Lattice="7.310 -5.247 0.000 7.310 5.247 0.000 -2.944 0.000 10.180" Properties=species:S:1:pos:R:3 pbc="T T T"
Ir 2.489 0.000 2.537
Ir 9.186 0.000 7.643
Au -1.472 0.000 5.090
Au 7.310 0.000 0.000
N 2.723 2.241 2.522
N 3.710 1.913 2.045
N 1.787 0.000 0.871
N 2.723 -2.241 2.522
N 3.710 -1.913 2.045
N 7.966 1.913 8.134
N 8.952 2.241 7.658
N 9.889 0.000 9.309
N 7.966 -1.913 8.134
N 8.952 -2.241 7.658
Cl -0.044 0.000 3.236
Cl -0.632 0.000 9.523
Cl 0.296 0.000 6.594
Cl 7.310 2.323 0.000
Cl 3.374 0.000 4.612
Cl 4.556 0.000 7.872
Cl 7.119 0.000 2.307
Cl 8.302 0.000 5.568
Cl 7.310 -2.323 0.000
Cl 11.380 0.000 3.586
Cl 12.308 0.000 0.657
Cl 11.719 0.000 6.944
```


Record 11
IrAuClO: simulated X-ray powder pattern (Cu Kα, 1.54184 Å), based on a crystal structure in Alexandria, relaxed with PBE.

Top 10 peaks for 2θ from 15° to 90°, sorted by position:
| 2theta | I (rel.) |
| --- | --- |
| 24.16 | 100 |
| 27.79 | 25 |
| 29.95 | 76 |
| 38.43 | 56 |
| 38.84 | 65 |
| 41.36 | 26 |
| 45.91 | 60 |
| 48.47 | 28 |
| 58.93 | 23 |
| 64.34 | 25 |

Atomic structure:
```
4
Lattice="3.352 0.000 0.000 0.000 3.684 0.000 0.000 0.000 6.549" Properties=species:S:1:pos:R:3 pbc="T T T"
Ir 0.000 0.000 0.000
Au 1.676 0.000 4.482
Cl 0.000 0.000 2.601
O 0.000 1.842 0.067
```


Record 12
K4Au2Cl: simulated X-ray powder pattern (Cu Kα, 1.54184 Å), based on a crystal structure in Alexandria, relaxed with PBE.

Top 10 peaks for 2θ from 15° to 90°, sorted by position:
| 2theta | I (rel.) |
| --- | --- |
| 17.05 | 66 |
| 19.36 | 41 |
| 19.63 | 100 |
| 25.91 | 55 |
| 34.02 | 68 |
| 34.50 | 34 |
| 36.26 | 23 |
| 36.60 | 26 |
| 37.18 | 34 |
| 38.03 | 41 |

Atomic structure:
```
7
Lattice="5.643 0.000 0.000 0.000 5.200 0.000 -2.370 0.000 9.169" Properties=species:S:1:pos:R:3 pbc="T T T"
K 0.094 0.000 1.746
K 0.497 2.600 6.163
K 2.776 2.600 3.006
K 3.179 0.000 7.423
Au -0.956 2.600 9.138
Au 4.229 2.600 0.032
Cl 1.636 0.000 4.585
```


Record 13
K2Au3Cl6: simulated X-ray powder pattern (Cu Kα, 1.54184 Å), based on a crystal structure in Alexandria, relaxed with PBE.

Top 10 peaks for 2θ from 15° to 90°, sorted by position:
| 2theta | I (rel.) |
| --- | --- |
| 21.18 | 15 |
| 22.02 | 100 |
| 24.11 | 9 |
| 24.37 | 16 |
| 24.47 | 7 |
| 27.99 | 10 |
| 37.11 | 33 |
| 43.58 | 16 |
| 44.85 | 7 |
| 58.56 | 11 |

Atomic structure:
```
22
Lattice="7.271 -4.193 0.000 7.271 4.193 0.000 -4.957 0.000 14.764" Properties=species:S:1:pos:R:3 pbc="T T T"
K 1.099 2.098 14.632
K 6.009 2.098 7.514
K 3.577 -2.098 7.250
K 8.487 -2.098 0.132
Au 3.554 3.545 11.073
Au 3.674 0.701 3.662
Au 1.196 -0.701 11.044
Au 8.390 0.701 3.720
Au 5.912 -0.701 11.102
Au 6.032 -3.545 3.691
Cl 3.462 3.517 8.807
Cl 3.645 3.517 13.339
Cl 3.721 0.574 1.399
Cl 3.575 0.802 5.925
Cl 1.243 -0.574 8.781
Cl 1.097 -0.802 13.307
Cl 8.490 0.802 1.457
Cl 8.343 0.574 5.983
Cl 6.011 -0.802 8.839
Cl 5.865 -0.574 13.365
Cl 5.941 -3.517 1.425
Cl 6.124 -3.517 5.957
```